(1)
For RbHg3GeO4, a structure optimized by DFT (PBE) gives the theoretical powder diffractogram in this record (Cu Kα (λ = 1.5418 Å)).
Lines closer than 0.1° are merged.

Peak list (12 most intense, 2θ = 15–90°, low angle first)
- 2θ = 25.49°, d 3.495, intensity 100
- 2θ = 29.51°, d 3.027, intensity 74
- 2θ = 33.09°, d 2.707, intensity 12
- 2θ = 42.23°, d 2.140, intensity 67
- 2θ = 44.93°, d 2.018, intensity 8
- 2θ = 49.97°, d 1.825, intensity 53
- 2θ = 52.36°, d 1.747, intensity 22
- 2θ = 61.25°, d 1.513, intensity 10
- 2θ = 67.44°, d 1.389, intensity 19
- 2θ = 69.44°, d 1.354, intensity 30
- 2θ = 77.21°, d 1.236, intensity 22
- 2θ = 82.87°, d 1.165, intensity 17

Structure:
```
9
Lattice="6.0531 0.0000 0.0000 0.0000 6.0531 0.0000 0.0000 0.0000 6.0531" Properties=species:S:1:pos:R:3 pbc="T T T"
Rb 0.0000 0.0000 0.0000
Hg 0.0000 3.0265 3.0265
Hg 3.0265 0.0000 3.0265
Hg 3.0265 3.0265 0.0000
Ge 3.0265 3.0265 3.0265
O 1.9817 1.9817 1.9817
O 1.9817 4.0714 4.0714
O 4.0714 1.9817 4.0714
O 4.0714 4.0714 1.9817
```

(2)
For MgHgSO, a structure optimized by DFT (PBE) gives the theoretical powder diffractogram in this record (Cu Kα (λ = 1.5418 Å)).
Lines closer than 0.1° are merged.

Peak list (12 most intense, 2θ = 15–90°, low angle first)
- 2θ = 23.88°, d 3.727, intensity 100
- 2θ = 28.67°, d 3.114, intensity 42
- 2θ = 30.81°, d 2.902, intensity 87
- 2θ = 31.32°, d 2.856, intensity 46
- 2θ = 33.30°, d 2.691, intensity 14
- 2θ = 33.55°, d 2.671, intensity 35
- 2θ = 42.97°, d 2.105, intensity 26
- 2θ = 44.70°, d 2.027, intensity 23
- 2θ = 46.55°, d 1.951, intensity 26
- 2θ = 51.46°, d 1.776, intensity 16
- 2θ = 55.42°, d 1.658, intensity 14
- 2θ = 55.59°, d 1.653, intensity 23

Structure:
```
16
Lattice="6.2276 0.0000 0.0000 0.0000 8.0131 0.0000 0.0000 0.0000 5.7129" Properties=species:S:1:pos:R:3 pbc="T T T"
Mg 0.7251 0.5673 0.0000
Mg 2.3887 0.5673 2.8565
Mg 3.8389 7.4459 0.0000
Mg 5.5025 7.4459 2.8565
Hg 0.2352 5.2703 0.5338
Hg 2.8786 5.2703 3.3903
Hg 3.3490 2.7428 0.5338
Hg 5.9924 2.7428 3.3903
S 0.2600 5.2575 3.5926
S 2.8538 5.2575 0.7362
S 3.3738 2.7556 3.5926
S 5.9676 2.7556 0.7362
O 0.6317 0.5622 3.7418
O 2.4821 0.5622 0.8854
O 3.7455 7.4509 3.7418
O 5.5959 7.4509 0.8854
```

(3)
For TlCdFeNi, a structure optimized by DFT (PBE) gives the theoretical powder diffractogram in this record (Cu Kα (λ = 1.5418 Å)).
Lines closer than 0.1° are merged.

Peak list (11 most intense, 2θ = 15–90°, low angle first)
- 2θ = 24.08°, d 3.695, intensity 9
- 2θ = 27.88°, d 3.200, intensity 24
- 2θ = 39.84°, d 2.263, intensity 100
- 2θ = 47.09°, d 1.930, intensity 5
- 2θ = 49.32°, d 1.848, intensity 7
- 2θ = 57.60°, d 1.600, intensity 17
- 2θ = 63.34°, d 1.468, intensity 2
- 2θ = 65.18°, d 1.431, intensity 9
- 2θ = 72.32°, d 1.306, intensity 33
- 2θ = 77.49°, d 1.232, intensity 2
- 2θ = 85.90°, d 1.131, intensity 11

Structure:
```
16
Lattice="6.4005 0.0000 0.0000 0.0000 6.4005 0.0000 0.0000 0.0000 6.4005" Properties=species:S:1:pos:R:3 pbc="T T T"
Tl 0.0000 0.0000 0.0000
Tl 0.0000 3.2002 3.2002
Tl 3.2002 0.0000 3.2002
Tl 3.2002 3.2002 0.0000
Cd 0.0000 0.0000 3.2002
Cd 0.0000 3.2002 0.0000
Cd 3.2002 0.0000 0.0000
Cd 3.2002 3.2002 3.2002
Fe 1.6001 1.6001 1.6001
Fe 1.6001 4.8004 4.8004
Fe 4.8004 1.6001 4.8004
Fe 4.8004 4.8004 1.6001
Ni 1.6001 1.6001 4.8004
Ni 1.6001 4.8004 1.6001
Ni 4.8004 1.6001 1.6001
Ni 4.8004 4.8004 4.8004
```

(4)
For Hf3Fe2As4Pd2, a structure optimized by DFT (PBE) gives the theoretical powder diffractogram in this record (Cu Kα (λ = 1.5418 Å)).
Lines closer than 0.1° are merged.

Peak list (12 most intense, 2θ = 15–90°, low angle first)
- 2θ = 18.03°, d 4.920, intensity 15
- 2θ = 29.40°, d 3.038, intensity 14
- 2θ = 36.10°, d 2.488, intensity 100
- 2θ = 36.53°, d 2.460, intensity 15
- 2θ = 38.07°, d 2.364, intensity 84
- 2θ = 38.56°, d 2.335, intensity 33
- 2θ = 43.10°, d 2.099, intensity 28
- 2θ = 45.40°, d 1.998, intensity 22
- 2θ = 47.06°, d 1.931, intensity 33
- 2θ = 48.42°, d 1.880, intensity 18
- 2θ = 62.41°, d 1.488, intensity 16
- 2θ = 81.40°, d 1.182, intensity 14

Structure:
```
11
Lattice="6.5185 0.0000 0.0000 0.0000 3.8619 0.0000 -0.0065 0.0000 7.5001" Properties=species:S:1:pos:R:3 pbc="T T T"
Hf 0.0000 0.0000 0.0000
Hf 0.4981 1.9310 4.7047
Hf 3.6803 1.9310 3.6678
Fe 0.9578 1.9310 2.0066
Fe 5.9706 0.0000 2.7178
As 1.8972 0.0000 2.9809
As 1.8980 1.9310 7.2654
As 5.0916 1.9310 1.4655
As 5.1334 0.0000 5.0087
Pd 2.4324 0.0000 5.6123
Pd 4.4289 1.9310 6.5619
```

(5)
For YScZn2Sn2, a structure optimized by DFT (PBE) gives the theoretical powder diffractogram in this record (Cu Kα (λ = 1.5418 Å)).
Lines closer than 0.1° are merged.

Peak list (12 most intense, 2θ = 15–90°, low angle first)
- 2θ = 23.07°, d 3.855, intensity 19
- 2θ = 28.96°, d 3.083, intensity 43
- 2θ = 32.86°, d 2.725, intensity 100
- 2θ = 40.57°, d 2.224, intensity 88
- 2θ = 47.17°, d 1.927, intensity 22
- 2θ = 47.54°, d 1.913, intensity 36
- 2θ = 53.16°, d 1.723, intensity 26
- 2θ = 63.90°, d 1.457, intensity 17
- 2θ = 64.23°, d 1.450, intensity 15
- 2θ = 68.95°, d 1.362, intensity 23
- 2θ = 73.81°, d 1.284, intensity 15
- 2θ = 78.79°, d 1.215, intensity 16

Structure:
```
12
Lattice="4.4475 0.0000 0.0000 -2.2238 3.8517 0.0000 0.0000 0.0000 15.4257" Properties=species:S:1:pos:R:3 pbc="T T T"
Y 0.0000 0.0000 0.0000
Y 0.0000 0.0000 7.7129
Sc 0.0000 0.0000 3.8564
Sc 0.0000 0.0000 11.5693
Zn 0.0000 2.5678 2.5349
Zn 0.0000 2.5678 5.1780
Zn 2.2238 1.2839 10.2478
Zn 2.2238 1.2839 12.8909
Sn 0.0000 2.5678 9.5202
Sn 0.0000 2.5678 13.6184
Sn 2.2238 1.2839 1.8073
Sn 2.2238 1.2839 5.9055
```

(6)
For TbHoSi2, a structure optimized by DFT (PBE) gives the theoretical powder diffractogram in this record (Cu Kα (λ = 1.5418 Å)).
Lines closer than 0.1° are merged.

Peak list (12 most intense, 2θ = 15–90°, low angle first)
- 2θ = 22.48°, d 3.955, intensity 27
- 2θ = 27.45°, d 3.249, intensity 31
- 2θ = 28.04°, d 3.182, intensity 40
- 2θ = 30.27°, d 2.952, intensity 100
- 2θ = 32.52°, d 2.754, intensity 73
- 2θ = 33.42°, d 2.681, intensity 81
- 2θ = 36.23°, d 2.479, intensity 42
- 2θ = 37.59°, d 2.393, intensity 45
- 2θ = 41.08°, d 2.197, intensity 37
- 2θ = 47.40°, d 1.918, intensity 24
- 2θ = 53.01°, d 1.728, intensity 41
- 2θ = 59.24°, d 1.560, intensity 31

Structure:
```
8
Lattice="3.8360 0.0000 0.0000 0.0000 5.6990 0.0000 0.0000 0.0000 7.9098" Properties=species:S:1:pos:R:3 pbc="T T T"
Tb 0.0000 0.7708 0.0000
Tb 0.0000 4.9282 3.9549
Ho 1.9180 2.0806 5.0758
Ho 1.9180 3.6184 1.1209
Si 0.0000 2.1607 2.8394
Si 0.0000 3.5383 6.7943
Si 1.9180 0.6909 2.2379
Si 1.9180 5.0081 6.1928
```

(7)
For PrHoPt, a structure optimized by DFT (PBE) gives the theoretical powder diffractogram in this record (Cu Kα (λ = 1.5418 Å)).
Lines closer than 0.1° are merged.

Peak list (12 most intense, 2θ = 15–90°, low angle first)
- 2θ = 29.91°, d 2.987, intensity 88
- 2θ = 30.69°, d 2.913, intensity 26
- 2θ = 31.77°, d 2.817, intensity 30
- 2θ = 32.34°, d 2.768, intensity 100
- 2θ = 35.53°, d 2.527, intensity 91
- 2θ = 37.08°, d 2.424, intensity 72
- 2θ = 38.42°, d 2.343, intensity 22
- 2θ = 42.42°, d 2.131, intensity 29
- 2θ = 42.86°, d 2.110, intensity 35
- 2θ = 43.59°, d 2.076, intensity 32
- 2θ = 55.06°, d 1.668, intensity 21
- 2θ = 59.54°, d 1.553, intensity 24

Structure:
```
12
Lattice="7.2881 0.0000 0.0000 0.0000 4.8487 0.0000 0.0000 0.0000 8.8811" Properties=species:S:1:pos:R:3 pbc="T T T"
Pr 0.0698 1.2122 1.5458
Pr 3.5742 3.6365 5.9864
Pr 3.7139 1.2122 2.8948
Pr 7.2183 3.6365 7.3353
Ho 1.0406 1.2122 5.1553
Ho 2.6034 3.6365 0.7147
Ho 4.6847 1.2122 8.1665
Ho 6.2475 3.6365 3.7259
Pt 1.7911 3.6365 3.6514
Pt 1.8530 1.2122 8.0919
Pt 5.4352 3.6365 0.7892
Pt 5.4970 1.2122 5.2298
```

(8)
For RbHfO3, a structure optimized by DFT (PBE) gives the theoretical powder diffractogram in this record (Cu Kα (λ = 1.5418 Å)).
Lines closer than 0.1° are merged.

Peak list (12 most intense, 2θ = 15–90°, low angle first)
- 2θ = 20.23°, d 4.389, intensity 37
- 2θ = 26.69°, d 3.341, intensity 69
- 2θ = 30.72°, d 2.911, intensity 100
- 2θ = 34.30°, d 2.614, intensity 23
- 2θ = 41.13°, d 2.194, intensity 22
- 2θ = 43.51°, d 2.080, intensity 45
- 2θ = 52.20°, d 1.752, intensity 22
- 2θ = 54.60°, d 1.681, intensity 33
- 2θ = 56.13°, d 1.638, intensity 26
- 2θ = 63.60°, d 1.463, intensity 12
- 2θ = 63.96°, d 1.456, intensity 18
- 2θ = 88.91°, d 1.101, intensity 13

Structure:
```
10
Lattice="2.9105 1.6804 5.9474 -2.9105 1.6804 5.9474 0.0000 -3.3607 5.9474" Properties=species:S:1:pos:R:3 pbc="T T T"
Rb 0.0000 0.0000 2.3244
Rb 0.0000 0.0000 15.5178
Hf 0.0000 0.0000 6.0132
Hf 0.0000 0.0000 11.8290
O -1.2793 -1.2039 7.0922
O -1.6823 0.5060 10.7501
O -0.4030 1.7099 7.0921
O 0.4030 -1.7099 10.7501
O 1.6823 -0.5060 7.0921
O 1.2793 1.2039 10.7501
```

(9)
For TbGd2S3, a structure optimized by DFT (PBE) gives the theoretical powder diffractogram in this record (Cu Kα (λ = 1.5418 Å)).
Lines closer than 0.1° are merged.

Peak list (12 most intense, 2θ = 15–90°, low angle first)
- 2θ = 27.75°, d 3.215, intensity 80
- 2θ = 32.15°, d 2.784, intensity 100
- 2θ = 46.10°, d 1.969, intensity 72
- 2θ = 54.65°, d 1.679, intensity 29
- 2θ = 54.71°, d 1.678, intensity 10
- 2θ = 57.35°, d 1.607, intensity 19
- 2θ = 67.25°, d 1.392, intensity 12
- 2θ = 74.16°, d 1.279, intensity 8
- 2θ = 74.30°, d 1.277, intensity 8
- 2θ = 76.44°, d 1.246, intensity 16
- 2θ = 76.56°, d 1.244, intensity 16
- 2θ = 85.45°, d 1.136, intensity 18

Structure:
```
6
Lattice="3.9346 0.0000 0.0000 -1.9673 3.4074 0.0000 0.0000 0.0000 9.6612" Properties=species:S:1:pos:R:3 pbc="T T T"
Tb 0.0000 0.0000 0.0000
Gd 0.0000 2.2716 6.4398
Gd 1.9673 1.1358 3.2213
S 0.0000 0.0000 4.8306
S 0.0000 2.2716 1.5936
S 1.9673 1.1358 8.0676
```

(10)
For CdSb2S3Br2, a structure optimized by DFT (PBE) gives the theoretical powder diffractogram in this record (Cu Kα (λ = 1.5418 Å)).
Lines closer than 0.1° are merged.

Peak list (12 most intense, 2θ = 15–90°, low angle first)
- 2θ = 18.01°, d 4.926, intensity 30
- 2θ = 24.86°, d 3.582, intensity 69
- 2θ = 26.94°, d 3.309, intensity 36
- 2θ = 27.43°, d 3.252, intensity 28
- 2θ = 29.43°, d 3.035, intensity 32
- 2θ = 30.40°, d 2.940, intensity 23
- 2θ = 31.16°, d 2.870, intensity 26
- 2θ = 31.26°, d 2.861, intensity 100
- 2θ = 33.45°, d 2.679, intensity 61
- 2θ = 45.97°, d 1.974, intensity 38
- 2θ = 46.07°, d 1.970, intensity 28
- 2θ = 50.76°, d 1.799, intensity 25

Structure:
```
16
Lattice="10.5706 -1.9747 0.0000 10.5706 1.9747 0.0000 -6.3905 0.0000 10.7571" Properties=species:S:1:pos:R:3 pbc="T T T"
Cd 0.3043 0.0000 4.7572
Cd 14.4464 0.0000 5.9999
Sb 3.8137 0.0000 0.9309
Sb 8.1517 0.0000 2.2875
Sb 6.5991 0.0000 8.4696
Sb 10.9371 0.0000 9.8262
S -0.7377 0.0000 2.3128
S -1.7112 0.0000 9.3744
S 2.0546 0.0000 10.5575
S 12.6961 0.0000 0.1996
S 16.4619 0.0000 1.3827
S 15.4885 0.0000 8.4443
Br 1.9880 0.0000 7.0152
Br 5.4816 0.0000 4.9770
Br 9.2691 0.0000 5.7801
Br 12.7628 0.0000 3.7420
```

(11)
For Tm3Sb2Te, a structure optimized by DFT (PBE) gives the theoretical powder diffractogram in this record (Cu Kα (λ = 1.5418 Å)).
Lines closer than 0.1° are merged.

Peak list (10 most intense, 2θ = 15–90°, low angle first)
- 2θ = 25.23°, d 3.529, intensity 5
- 2θ = 29.22°, d 3.056, intensity 100
- 2θ = 41.80°, d 2.161, intensity 76
- 2θ = 49.45°, d 1.843, intensity 2
- 2θ = 51.81°, d 1.765, intensity 27
- 2θ = 60.59°, d 1.528, intensity 12
- 2θ = 66.69°, d 1.403, intensity 1
- 2θ = 68.66°, d 1.367, intensity 34
- 2θ = 76.31°, d 1.248, intensity 25
- 2θ = 81.88°, d 1.177, intensity 1

Structure:
```
12
Lattice="3.7443 -6.4848 0.0000 3.7443 6.4848 0.0000 -2.4990 0.0000 7.0558" Properties=species:S:1:pos:R:3 pbc="T T T"
Tm 1.8721 3.2424 0.0000
Tm 0.5477 1.1216 3.5095
Tm -0.7018 -1.1216 7.0374
Tm 0.6227 -3.2424 3.5279
Tm 5.6914 1.1216 0.0185
Tm 4.4419 -1.1216 3.5464
Sb 3.1195 5.3956 1.7640
Sb 1.8701 3.1966 5.2919
Sb 3.1195 -3.1966 1.7640
Sb 1.8701 -5.3956 5.2919
Te 3.1195 1.0491 1.7640
Te 1.8701 -1.0491 5.2919
```

(12)
For LiAu3Se5, a structure optimized by DFT (PBE) gives the theoretical powder diffractogram in this record (Cu Kα (λ = 1.5418 Å)).
Lines closer than 0.1° are merged.

Peak list (12 most intense, 2θ = 15–90°, low angle first)
- 2θ = 18.51°, d 4.793, intensity 39
- 2θ = 20.64°, d 4.303, intensity 59
- 2θ = 31.18°, d 2.869, intensity 42
- 2θ = 34.03°, d 2.635, intensity 28
- 2θ = 37.53°, d 2.397, intensity 25
- 2θ = 39.01°, d 2.309, intensity 100
- 2θ = 43.21°, d 2.094, intensity 60
- 2θ = 49.56°, d 1.839, intensity 25
- 2θ = 57.57°, d 1.601, intensity 37
- 2θ = 67.72°, d 1.384, intensity 16
- 2θ = 76.42°, d 1.246, intensity 20
- 2θ = 81.01°, d 1.187, intensity 12

Structure:
```
9
Lattice="5.5348 0.0000 0.0000 -2.7674 4.7933 0.0000 0.0000 0.0000 8.6055" Properties=species:S:1:pos:R:3 pbc="T T T"
Li 0.0000 0.0000 0.0000
Au -1.3837 2.3967 4.3028
Au 2.7674 0.0000 4.3028
Au 1.3837 2.3967 4.3028
Se 0.0000 0.0000 4.3028
Se 0.0000 3.1955 1.1281
Se 0.0000 3.1955 7.4774
Se 2.7674 1.5978 1.1281
Se 2.7674 1.5978 7.4774
```

(13)
For Na2Al4PdAu, a structure optimized by DFT (PBE) gives the theoretical powder diffractogram in this record (Cu Kα (λ = 1.5418 Å)).
Lines closer than 0.1° are merged.

Peak list (12 most intense, 2θ = 15–90°, low angle first)
- 2θ = 18.04°, d 4.917, intensity 74
- 2θ = 21.81°, d 4.076, intensity 27
- 2θ = 24.44°, d 3.642, intensity 34
- 2θ = 25.86°, d 3.446, intensity 100
- 2θ = 30.54°, d 2.927, intensity 26
- 2θ = 33.62°, d 2.665, intensity 27
- 2θ = 36.72°, d 2.448, intensity 63
- 2θ = 38.65°, d 2.330, intensity 26
- 2θ = 42.41°, d 2.131, intensity 23
- 2θ = 42.75°, d 2.115, intensity 27
- 2θ = 43.89°, d 2.063, intensity 49
- 2θ = 51.51°, d 1.774, intensity 17

Structure:
```
16
Lattice="7.2841 0.0000 0.0000 0.0000 4.2629 0.0000 0.0000 0.0000 9.8349" Properties=species:S:1:pos:R:3 pbc="T T T"
Na 0.0000 0.0000 0.0000
Na 0.0000 2.1314 4.9174
Na 3.6420 0.0000 1.3021
Na 3.6420 2.1314 6.2195
Al 1.3770 0.0000 7.0110
Al 1.3770 2.1314 2.0936
Al 2.1862 0.0000 4.0884
Al 2.1862 2.1314 9.0058
Al 5.0979 0.0000 4.0884
Al 5.0979 2.1314 9.0058
Al 5.9071 0.0000 7.0110
Al 5.9071 2.1314 2.0936
Pd 0.0000 0.0000 2.7681
Pd 0.0000 2.1314 7.6856
Au 3.6420 0.0000 8.3470
Au 3.6420 2.1314 3.4296
```

(14)
For RbHoTeSe, a structure optimized by DFT (PBE) gives the theoretical powder diffractogram in this record (Cu Kα (λ = 1.5418 Å)).
Lines closer than 0.1° are merged.

Peak list (12 most intense, 2θ = 15–90°, low angle first)
- 2θ = 27.69°, d 3.222, intensity 100
- 2θ = 34.72°, d 2.583, intensity 14
- 2θ = 37.53°, d 2.396, intensity 33
- 2θ = 41.50°, d 2.176, intensity 37
- 2θ = 42.98°, d 2.105, intensity 7
- 2θ = 43.70°, d 2.071, intensity 8
- 2θ = 46.91°, d 1.937, intensity 9
- 2θ = 50.62°, d 1.803, intensity 19
- 2θ = 57.18°, d 1.611, intensity 10
- 2θ = 61.86°, d 1.500, intensity 11
- 2θ = 67.45°, d 1.389, intensity 16
- 2θ = 73.08°, d 1.295, intensity 9

Structure:
```
12
Lattice="4.3522 0.0000 0.0000 -2.1761 3.7691 0.0000 0.0000 0.0000 24.8357" Properties=species:S:1:pos:R:3 pbc="T T T"
Rb 0.0000 0.0000 0.0000
Rb 0.0000 2.5127 16.5571
Rb 2.1761 1.2564 8.2786
Ho 0.0000 0.0000 12.6546
Ho 0.0000 2.5127 4.3760
Ho 2.1761 1.2564 20.9331
Te 0.0000 0.0000 19.1468
Te 0.0000 2.5127 10.8682
Te 2.1761 1.2564 2.5897
Se 0.0000 0.0000 5.8525
Se 0.0000 2.5127 22.4096
Se 2.1761 1.2564 14.1310
```